# Na2InHgBi
Calculated XRD peak list, Cu Kα (weighted mean of Kα1 and Kα2). Input: a cell relaxed with PBE.

The 6 most intense peaks (10° ≤ 2θ ≤ 80°), by angle:
| two_theta | d/Å | I_rel | hkl |
| --- | --- | --- | --- |
| 18.93 | 4.687 | 61 | 1 0 1 |
| 21.16 | 4.198 | 100 | 0 1 1 |
| 23.58 | 3.773 | 65 | 2 0 -1 |
| 33.69 | 2.660 | 71 | 2 1 -2 |
| 34.35 | 2.611 | 91 | 1 1 2 |
| 35.70 | 2.515 | 47 | 0 2 0 |

Crystal structure
```
data_Na2InHgBi
_chemical_formula_sum 'Na4 In2 Hg2 Bi2'
_symmetry_space_group_name_H-M 'P 1'
_symmetry_Int_Tables_number 1
_cell_length_a 7.7111
_cell_length_b 5.0295
_cell_length_c 7.9491
_cell_angle_alpha 90.00
_cell_angle_beta 106.43
_cell_angle_gamma 90.00
loop_
_symmetry_equiv_pos_as_xyz
'x,y,z'
loop_
_atom_site_label
_atom_site_type_symbol
_atom_site_fract_x
_atom_site_fract_y
_atom_site_fract_z
Na1 Na 0.0241 0.2500 0.1802
Na2 Na 0.3815 0.7500 0.6207
Na3 Na 0.6185 0.2500 0.3793
Na4 Na 0.9759 0.7500 0.8198
In1 In 0.3198 0.2500 0.9382
In2 In 0.6802 0.7500 0.0618
Hg1 Hg 0.0461 0.2500 0.5988
Hg2 Hg 0.9539 0.7500 0.4012
Bi1 Bi 0.3235 0.7500 0.1858
Bi2 Bi 0.6765 0.2500 0.8142
```